Record 1
Simulated powder diffractogram of TbSm3Cd for λ = 1.5418 Å (Cu Kα), from DFT lattice parameters and positions (GGA-PBE).

Main lines, by intensity (2θ from 10° to 80°):
- 2θ 31.71, intensity 100.0, (2 4 -1)
- 2θ 32.86, intensity 49.0, (4 0 -2)
- 2θ 31.24, intensity 48.7, (1 1 2)
- 2θ 31.58, intensity 48.5, (5 1 0)
- 2θ 32.98, intensity 42.6, (3 3 1)
- 2θ 43.14, intensity 18.3, (3 5 1)
- 2θ 57.95, intensity 15.4, (6 4 -3)
- 2θ 47.49, intensity 14.9, (7 3 -1)
- 2θ 47.01, intensity 13.7, (1 3 -3)
- 2θ 63.34, intensity 12.1, (8 4 1)

```
data_TbSm3Cd
_space_group_name_H-M_alt 'C 1 2/c 1'
_space_group_IT_number 15
_cell_length_a 14.946
_cell_length_b 13.195
_cell_length_c 6.488
_cell_angle_alpha 90.00
_cell_angle_beta 103.99
_cell_angle_gamma 90.00
loop_
_space_group_symop_operation_xyz
'x,y,z'
'-x,-y,-z'
'-x,y,-z+1/2'
'x,-y,z+1/2'
'x+1/2,y+1/2,z'
'-x+1/2,-y+1/2,-z'
'-x+1/2,y+1/2,-z+1/2'
'x+1/2,-y+1/2,z+1/2'
loop_
_atom_site_label
_atom_site_type_symbol
_atom_site_fract_x
_atom_site_fract_y
_atom_site_fract_z
Tb1 Tb 0.095 0.198 0.485
Sm1 Sm 0.101 0.066 0.972
Sm2 Sm 0.187 0.313 0.131
Sm3 Sm 0.200 0.430 0.637
Cd1 Cd 0.000 0.357 0.750
Cd2 Cd 0.000 0.415 0.250
```



Record 2
Simulated powder diffractogram of CeSm4Er for λ = 1.5418 Å (Cu Kα), from DFT lattice parameters and positions (GGA-PBE).

Main lines, by intensity (2θ from 10° to 80°):
- 2θ 35.34, intensity 100.0, (1 3 1)
- 2θ 30.46, intensity 99.0, (1 3 -1)
- 2θ 30.51, intensity 98.6, (2 0 0)
- 2θ 50.87, intensity 59.3, (2 0 2)
- 2θ 60.39, intensity 42.4, (3 3 1)
- 2θ 60.51, intensity 42.3, (1 3 3)
- 2θ 63.41, intensity 18.3, (4 0 0)
- 2θ 50.74, intensity 11.9, (0 6 0)
- 2θ 74.70, intensity 7.5, (2 6 2)
- 2θ 63.54, intensity 6.1, (0 0 4)

```
data_CeSm4Er
_space_group_name_H-M_alt 'C 1 2/m 1'
_space_group_IT_number 12
_cell_length_a 6.217
_cell_length_b 10.796
_cell_length_c 6.210
_cell_angle_alpha 90.00
_cell_angle_beta 109.41
_cell_angle_gamma 90.00
loop_
_space_group_symop_operation_xyz
'x,y,z'
'-x,-y,-z'
'-x,y,-z'
'x,-y,z'
'x+1/2,y+1/2,z'
'-x+1/2,-y+1/2,-z'
'-x+1/2,y+1/2,-z'
'x+1/2,-y+1/2,z'
loop_
_atom_site_label
_atom_site_type_symbol
_atom_site_fract_x
_atom_site_fract_y
_atom_site_fract_z
Ce1 Ce 0.000 0.000 0.000
Sm1 Sm 0.000 0.164 0.500
Sm2 Sm 0.000 0.334 0.000
Er1 Er 0.000 0.500 0.500
```



Record 3
Simulated powder diffractogram of Ta7W3 for λ = 1.5418 Å (Cu Kα), from DFT lattice parameters and positions (GGA-PBE).

Main lines, by intensity (2θ from 10° to 80°):
- 2θ 40.45, intensity 100.0, (2 0 2)
- 2θ 38.94, intensity 87.5, (3 0 1)
- 2θ 35.07, intensity 61.6, (2 1 1)
- 2θ 40.86, intensity 39.6, (2 2 0)
- 2θ 72.90, intensity 30.5, (3 3 2)
- 2θ 63.10, intensity 23.5, (3 3 0)
- 2θ 62.47, intensity 22.2, (3 0 3)
- 2θ 35.19, intensity 19.5, (3 0 0)
- 2θ 42.60, intensity 18.1, (3 1 0)
- 2θ 11.57, intensity 15.5, (1 0 0)

```
data_Ta7W3
_space_group_name_H-M_alt 'P 63/m m c'
_space_group_IT_number 194
_space_group_name_Hall '-P 6c 2c'
_cell_length_a 8.8352
_cell_length_b 8.8352
_cell_length_c 5.4886
_cell_angle_alpha 90.00
_cell_angle_beta 90.00
_cell_angle_gamma 120.00
loop_
_atom_site_label
_atom_site_type_symbol
_atom_site_fract_x
_atom_site_fract_y
_atom_site_fract_z
Ta1 Ta 0.0000 0.5000 0.0000
Ta2 Ta 0.1260 0.2520 0.2500
Ta3 Ta 0.3333 0.6667 0.2500
W1 W 0.2218 0.4436 0.7500
```



Record 4
Simulated powder diffractogram of Tl8SbS6 for λ = 1.5418 Å (Cu Kα), from DFT lattice parameters and positions (GGA-PBE).

Main lines, by intensity (2θ from 10° to 80°):
- 2θ 25.26, intensity 100.0, (0 2 2)
- 2θ 24.19, intensity 95.0, (2 0 2)
- 2θ 31.00, intensity 53.9, (2 2 2)
- 2θ 30.01, intensity 51.0, (0 3 1)
- 2θ 37.76, intensity 44.2, (2 0 4)
- 2θ 26.49, intensity 43.1, (0 1 3)
- 2θ 28.37, intensity 40.2, (3 1 0)
- 2θ 21.74, intensity 36.3, (2 1 1)
- 2θ 35.05, intensity 34.4, (2 3 1)
- 2θ 26.16, intensity 29.8, (2 2 0)

```
data_Tl8SbS6
_space_group_name_H-M_alt 'P m n 21'
_space_group_IT_number 31
_cell_length_a 10.032
_cell_length_b 9.290
_cell_length_c 10.830
_cell_angle_alpha 90.00
_cell_angle_beta 90.00
_cell_angle_gamma 90.00
loop_
_space_group_symop_operation_xyz
'x,y,z'
'-x+1/2,-y,z+1/2'
'-x,y,z'
'x+1/2,-y,z+1/2'
loop_
_atom_site_label
_atom_site_type_symbol
_atom_site_fract_x
_atom_site_fract_y
_atom_site_fract_z
Tl1 Tl 0.000 0.195 0.042
Tl2 Tl 0.000 0.235 0.500
Tl3 Tl 0.180 0.765 0.642
Tl4 Tl 0.205 0.576 0.357
Tl5 Tl 0.239 0.041 0.850
Sb1 Sb 0.000 0.708 0.049
S1 S 0.000 0.007 0.696
S2 S 0.000 0.478 0.176
S3 S 0.000 0.555 0.558
S4 S 0.000 0.921 0.189
S5 S 0.200 0.720 0.917
```